# CsNiPdF5
Simulated X-ray diffraction stick pattern, Cu Kα X-rays. Input: a structure optimized by DFT (GGA+U).
Peak positions follow from Bragg's law for the DFT cell and can differ from measured ones.

Structural model:
```
CsNiPdF5
1.0
-3.316 3.796 5.352
3.316 -3.796 5.352
3.316 3.796 -5.352
Cs Ni Pd F
2 2 2 10
direct
0.370 0.120 0.250 Cs
0.630 0.880 0.750 Cs
0.000 0.500 0.500 Ni
0.500 0.500 0.000 Ni
0.000 0.000 0.500 Pd
0.000 0.500 0.000 Pd
0.058 0.392 0.210 F
0.058 0.848 0.666 F
0.318 0.152 0.710 F
0.318 0.608 0.166 F
0.319 0.569 0.750 F
0.681 0.431 0.250 F
0.682 0.392 0.834 F
0.682 0.848 0.290 F
0.942 0.152 0.334 F
0.942 0.608 0.790 F
```

Principal peaks in the range 5° ≤ 2θ ≤ 70°, in order of falling intensity:
two_theta, intensity
30.58, 100
28.37, 77
49.96, 61
27.62, 53
24.38, 49
43.88, 36
31.75, 32
28.84, 28
23.44, 17
48.42, 16